Starting from a DFT-relaxed cell (PBE, the Materials Project), the X-ray powder pattern of CdB2O4 was simulated for copper Kα.

Peak list (6 most intense, 2θ = 15–90°, in order of rising 2θ)
2θ = 15.2°, rel. 35
2θ = 26.5°, rel. 72
2θ = 27.3°, rel. 100
2θ = 38.4°, rel. 46
2θ = 47.3°, rel. 61
2θ = 53.9°, rel. 23

Cell lengths 7.802, 7.802, 7.802 Å; angles 96.73, 96.73, 96.73 degrees
Fractional positions:
Cd1 0.021 0.318 0.660
Cd2 0.160 0.818 0.521
Cd3 0.318 0.660 0.021
Cd4 0.521 0.160 0.818
Cd5 0.660 0.021 0.318
Cd6 0.818 0.521 0.160
B1 0.050 0.895 0.137
B2 0.137 0.050 0.895
B3 0.148 0.382 0.333
B4 0.333 0.148 0.382
B5 0.382 0.333 0.148
B6 0.395 0.550 0.637
B7 0.550 0.637 0.395
B8 0.637 0.395 0.550
B9 0.648 0.833 0.882
B10 0.833 0.882 0.648
B11 0.882 0.648 0.833
B12 0.895 0.137 0.050
O1 0.006 0.155 0.921
O2 0.020 0.464 0.387
O3 0.070 0.762 0.228
O4 0.155 0.921 0.006
O5 0.197 0.243 0.422
O6 0.228 0.070 0.762
O7 0.243 0.422 0.197
O8 0.262 0.570 0.728
O9 0.387 0.020 0.464
O10 0.421 0.655 0.506
O11 0.422 0.197 0.243
O12 0.464 0.387 0.020
O13 0.506 0.421 0.655
O14 0.520 0.887 0.964
O15 0.570 0.728 0.262
O16 0.655 0.506 0.421
O17 0.697 0.922 0.743
O18 0.728 0.262 0.570
O19 0.743 0.697 0.922
O20 0.762 0.228 0.070
O21 0.887 0.964 0.520
O22 0.921 0.006 0.155
O23 0.922 0.743 0.697
O24 0.964 0.520 0.887

=====

Starting from a DFT-relaxed cell (PBE, the Materials Project), the X-ray powder pattern of CdB2O4 was simulated for copper Kα.

Peak list (6 most intense, 2θ = 15–90°, in order of rising 2θ)
2θ = 22.9°, rel. 66
2θ = 32.9°, rel. 25
2θ = 33.8°, rel. 100
2θ = 40.2°, rel. 22
2θ = 47.6°, rel. 33
2θ = 55.8°, rel. 16

Cell lengths 8.973, 8.973, 7.273 Å; angles 90.00, 90.00, 120.00 degrees
Fractional positions:
Cd1 0.000 0.000 0.000
Cd2 0.000 0.000 0.500
Cd3 0.046 0.524 0.481
Cd4 0.476 0.521 0.481
Cd5 0.479 0.954 0.481
Cd6 0.521 0.046 0.981
Cd7 0.524 0.479 0.981
Cd8 0.954 0.476 0.981
B1 0.152 0.823 0.784
B2 0.152 0.825 0.169
B3 0.175 0.327 0.169
B4 0.177 0.329 0.784
B5 0.327 0.152 0.669
B6 0.329 0.152 0.284
B7 0.333 0.667 0.188
B8 0.333 0.667 0.804
B9 0.667 0.333 0.304
B10 0.667 0.333 0.688
B11 0.671 0.848 0.784
B12 0.673 0.848 0.169
B13 0.823 0.671 0.284
B14 0.825 0.673 0.669
B15 0.848 0.175 0.669
B16 0.848 0.177 0.284
O1 0.003 0.816 0.266
O2 0.005 0.708 0.660
O3 0.092 0.763 0.975
O4 0.184 0.187 0.266
O5 0.187 0.003 0.766
O6 0.192 0.496 0.732
O7 0.206 0.713 0.266
O8 0.237 0.329 0.975
O9 0.287 0.493 0.266
O10 0.292 0.297 0.660
O11 0.297 0.005 0.160
O12 0.304 0.808 0.732
O13 0.329 0.092 0.475
O14 0.333 0.667 0.997
O15 0.493 0.206 0.766
O16 0.496 0.304 0.232
O17 0.504 0.696 0.732
O18 0.507 0.794 0.266
O19 0.667 0.333 0.497
O20 0.671 0.908 0.975
O21 0.696 0.192 0.232
O22 0.703 0.995 0.660
O23 0.708 0.703 0.160
O24 0.713 0.507 0.766
O25 0.763 0.671 0.475
O26 0.794 0.287 0.766
O27 0.808 0.504 0.232
O28 0.813 0.997 0.266
O29 0.816 0.813 0.766
O30 0.908 0.237 0.475
O31 0.995 0.292 0.160
O32 0.997 0.184 0.766

=====

Starting from a DFT-relaxed cell (PBE, the Materials Project), the X-ray powder pattern of Cd3B7O14 was simulated for copper Kα.

Peak list (6 most intense, 2θ = 15–90°, in order of rising 2θ)
2θ = 20.0°, rel. 51
2θ = 24.5°, rel. 61
2θ = 24.7°, rel. 64
2θ = 28.4°, rel. 100
2θ = 31.7°, rel. 46
2θ = 34.9°, rel. 72

Cell lengths 8.867, 8.867, 8.867 Å; angles 60.42, 60.42, 60.42 degrees
Fractional positions:
Cd1 0.062 0.467 0.471
Cd2 0.467 0.471 0.062
Cd3 0.471 0.062 0.467
Cd4 0.562 0.971 0.967
Cd5 0.967 0.562 0.971
Cd6 0.971 0.967 0.562
B1 0.087 0.087 0.786
B2 0.087 0.786 0.087
B3 0.119 0.119 0.119
B4 0.262 0.770 0.266
B5 0.266 0.262 0.770
B6 0.270 0.762 0.766
B7 0.286 0.587 0.587
B8 0.587 0.286 0.587
B9 0.587 0.587 0.286
B10 0.619 0.619 0.619
B11 0.762 0.766 0.270
B12 0.766 0.270 0.762
B13 0.770 0.266 0.262
B14 0.786 0.087 0.087
O1 0.001 0.001 0.001
O2 0.124 0.252 0.736
O3 0.134 0.962 0.270
O4 0.140 0.703 0.951
O5 0.203 0.640 0.451
O6 0.222 0.449 0.756
O7 0.236 0.752 0.624
O8 0.252 0.736 0.124
O9 0.256 0.949 0.722
O10 0.270 0.134 0.962
O11 0.299 0.299 0.299
O12 0.449 0.756 0.222
O13 0.451 0.203 0.640
O14 0.462 0.634 0.770
O15 0.501 0.501 0.501
O16 0.624 0.236 0.752
O17 0.634 0.770 0.462
O18 0.640 0.451 0.203
O19 0.703 0.951 0.140
O20 0.722 0.256 0.949
O21 0.736 0.124 0.252
O22 0.752 0.624 0.236
O23 0.756 0.222 0.449
O24 0.770 0.462 0.634
O25 0.799 0.799 0.799
O26 0.949 0.722 0.256
O27 0.951 0.140 0.703
O28 0.962 0.270 0.134

=====

Starting from a DFT-relaxed cell (PBE, the Materials Project), the X-ray powder pattern of CdBO3 was simulated for copper Kα.

Peak list (6 most intense, 2θ = 15–90°, in order of rising 2θ)
2θ = 25.4°, rel. 87
2θ = 36.3°, rel. 100
2θ = 44.8°, rel. 76
2θ = 52.2°, rel. 41
2θ = 59.0°, rel. 36
2θ = 65.3°, rel. 35

Cell lengths 3.502, 3.502, 3.502 Å; angles 90.00, 90.00, 90.00 degrees
Fractional positions:
Cd1 0.000 0.000 0.000
B1 0.500 0.500 0.500
O1 0.000 0.500 0.500
O2 0.500 0.000 0.500
O3 0.500 0.500 0.000

=====

Starting from a DFT-relaxed cell (PBE, the Materials Project), the X-ray powder pattern of Cd3BPO7 was simulated for copper Kα.

Peak list (6 most intense, 2θ = 15–90°, in order of rising 2θ)
2θ = 20.9°, rel. 82
2θ = 28.1°, rel. 79
2θ = 33.2°, rel. 93
2θ = 34.7°, rel. 100
2θ = 48.8°, rel. 42
2θ = 61.2°, rel. 22

Cell lengths 13.495, 8.981, 5.169 Å; angles 90.00, 90.00, 90.00 degrees
Fractional positions:
Cd1 0.098 0.089 0.000
Cd2 0.137 0.596 0.484
Cd3 0.247 0.261 0.486
Cd4 0.253 0.761 0.986
Cd5 0.363 0.096 0.984
Cd6 0.402 0.589 0.500
Cd7 0.598 0.411 0.000
Cd8 0.637 0.904 0.484
Cd9 0.747 0.239 0.486
Cd10 0.753 0.739 0.986
Cd11 0.863 0.404 0.984
Cd12 0.902 0.911 0.500
B1 0.227 0.931 0.484
B2 0.273 0.431 0.984
B3 0.727 0.569 0.484
B4 0.773 0.069 0.984
P1 0.004 0.729 0.009
P2 0.496 0.229 0.509
P3 0.504 0.771 0.009
P4 0.996 0.271 0.509
O1 0.004 0.113 0.383
O2 0.009 0.745 0.310
O3 0.090 0.360 0.426
O4 0.098 0.645 0.920
O5 0.218 0.040 0.675
O6 0.220 0.967 0.223
O7 0.247 0.783 0.549
O8 0.253 0.283 0.049
O9 0.280 0.467 0.723
O10 0.282 0.540 0.175
O11 0.402 0.145 0.420
O12 0.410 0.860 0.926
O13 0.491 0.245 0.810
O14 0.496 0.613 0.883
O15 0.504 0.387 0.383
O16 0.509 0.755 0.310
O17 0.590 0.140 0.426
O18 0.598 0.855 0.920
O19 0.718 0.460 0.675
O20 0.720 0.533 0.223
O21 0.747 0.717 0.549
O22 0.753 0.217 0.049
O23 0.780 0.033 0.723
O24 0.782 0.960 0.175
O25 0.902 0.355 0.420
O26 0.910 0.640 0.926
O27 0.991 0.255 0.810
O28 0.996 0.887 0.883